Entry 1:
Starting from a structure optimized by DFT (PBE), the PXRD pattern of Ca6Si6O19 was calculated for Cu Kα X-rays.
Lines closer than 0.1° are merged.

Largest 10 diffraction maxima, low angle first, 10 to 90 degrees two-theta:
| d/Å | I (rel.) | h k l |
| --- | --- | --- |
| 7.059 | 34 | 1 0 0 |
| 4.341 | 32 | 0 0 2 |
| 3.700 | 51 | 1 0 -2 |
| 3.267 | 58 | 2 0 1 |
| 3.130 | 100 | 0 2 -2 |
| 2.860 | 55 | 1 2 1 |
| 2.743 | 41 | 2 0 -2 |
| 2.059 | 29 | 2 -2 3 |
| 1.983 | 48 | -1 2 3 |
| 1.861 | 29 | 0 4 -1 |

```
data_Ca6Si6O19
_chemical_formula_sum 'Ca6 Si6 O19'
_cell_length_a 7.059
_cell_length_b 7.443
_cell_length_c 8.877
_cell_angle_alpha 102.02
_cell_angle_beta 90.18
_cell_angle_gamma 90.03
_symmetry_space_group_name_H-M 'P -1'
_symmetry_Int_Tables_number 2
loop_
_symmetry_equiv_pos_as_xyz
'x,y,z'
'-x,-y,-z'
loop_
_atom_site_label
_atom_site_type_symbol
_atom_site_fract_x
_atom_site_fract_y
_atom_site_fract_z
Ca1 Ca 0.000 0.000 0.000
Ca2 Ca 0.000 0.500 0.000
Ca3 Ca 0.160 0.157 0.633
Ca4 Ca 0.162 0.657 0.628
Si1 Si 0.270 0.281 0.288
Si2 Si 0.270 0.862 0.287
Si3 Si 0.445 0.455 0.819
O1 O 0.121 0.285 0.149
O2 O 0.121 0.789 0.149
O3 O 0.167 0.860 0.452
O4 O 0.168 0.365 0.453
O5 O 0.196 0.944 0.789
O6 O 0.219 0.449 0.795
O7 O 0.345 0.072 0.290
O8 O 0.473 0.389 0.271
O9 O 0.473 0.746 0.270
O10 O 0.500 0.500 0.000
```

---

Entry 2:
Starting from a structure optimized by DFT (PBE), the PXRD pattern of Sr2SnPd6 was calculated for Cu Kα X-rays.
Lines closer than 0.1° are merged.

Largest 10 diffraction maxima, low angle first, 10 to 90 degrees two-theta:
| d/Å | I (rel.) | h k l |
| --- | --- | --- |
| 5.072 | 29 | 1 1 0 |
| 3.082 | 28 | 0 0 2 |
| 2.802 | 38 | 1 1 -2 |
| 2.663 | 23 | 0 2 1 |
| 2.475 | 47 | 4 0 0 |
| 2.462 | 93 | 2 2 -1 |
| 2.244 | 100 | 2 2 1 |
| 2.229 | 51 | 4 0 -2 |
| 2.098 | 25 | 2 2 -2 |
| 1.477 | 56 | 6 2 -1 |

```
data_Sr2SnPd6
_chemical_formula_sum 'Sr4 Sn2 Pd12'
_cell_length_a 10.243
_cell_length_b 5.905
_cell_length_c 6.378
_cell_angle_alpha 90.00
_cell_angle_beta 104.85
_cell_angle_gamma 90.00
_symmetry_space_group_name_H-M 'C 1 2/m 1'
_symmetry_Int_Tables_number 12
loop_
_symmetry_equiv_pos_as_xyz
'x,y,z'
'-x,-y,-z'
'-x,y,-z'
'x,-y,z'
'x+1/2,y+1/2,z'
'-x+1/2,-y+1/2,-z'
'-x+1/2,y+1/2,-z'
'x+1/2,-y+1/2,z'
loop_
_atom_site_label
_atom_site_type_symbol
_atom_site_fract_x
_atom_site_fract_y
_atom_site_fract_z
Sr1 Sr 0.140 0.000 0.329
Sn1 Sn 0.000 0.500 0.500
Pd1 Pd 0.117 0.500 0.176
Pd2 Pd 0.140 0.237 0.821
```